[1]
# CsNa9Hg4
Theoretical XRD peak list, CuKα. Input: DFT lattice parameters and positions (GGA-PBE).
Neutral-atom scattering factors, no anomalous dispersion.

Main lines, sorted by position (2θ from 10° to 80°):
2θ = 19.11°, rel. 100; 2θ = 24.99°, rel. 20; 2θ = 25.92°, rel. 40; 2θ = 28.03°, rel. 35; 2θ = 33.97°, rel. 65; 2θ = 34.50°, rel. 42; 2θ = 35.02°, rel. 22; 2θ = 42.11°, rel. 29; 2θ = 44.88°, rel. 21; 2θ = 55.94°, rel. 20

Cell and atoms:
abc: 10.869 10.869 15.714
angles: 90.00 90.00 90.00
Space group I4/mcm (No. 140)
Inequivalent atoms, fractional coordinates:
Cs 0.000 0.000 0.250 x4
Na 0.000 0.500 0.000 x4
Na 0.071 0.201 0.000 x16
Na 0.134 0.366 0.189 x16
Hg 0.169 0.331 0.390 x16

[2]
# NaLi2Cd6
Theoretical XRD peak list, CuKα. Input: DFT lattice parameters and positions (GGA-PBE).
Neutral-atom scattering factors, no anomalous dispersion.

Main lines, sorted by position (2θ from 10° to 80°):
2θ = 20.85°, rel. 68; 2θ = 25.85°, rel. 46; 2θ = 31.69°, rel. 27; 2θ = 33.61°, rel. 56; 2θ = 35.11°, rel. 100; 2θ = 37.23°, rel. 85; 2θ = 42.74°, rel. 56; 2θ = 55.44°, rel. 22; 2θ = 60.40°, rel. 18; 2θ = 64.29°, rel. 16

Cell and atoms:
abc: 14.110 10.666 5.267
angles: 90.00 98.88 90.00
Space group C2/c (No. 15)
Inequivalent atoms, fractional coordinates:
Na 0.000 0.113 0.250 x4
Li 0.163 0.377 0.102 x8
Cd 0.055 0.380 0.525 x8
Cd 0.127 0.146 0.808 x8
Cd 0.231 0.120 0.343 x8

[3]
# La2Mg2Cu15
Theoretical XRD peak list, CuKα. Input: DFT lattice parameters and positions (GGA-PBE).
Neutral-atom scattering factors, no anomalous dispersion.

Main lines, sorted by position (2θ from 10° to 80°):
2θ = 29.05°, rel. 25; 2θ = 35.45°, rel. 27; 2θ = 36.50°, rel. 26; 2θ = 41.16°, rel. 49; 2θ = 41.35°, rel. 100; 2θ = 41.93°, rel. 34; 2θ = 46.46°, rel. 34; 2θ = 60.21°, rel. 16; 2θ = 67.67°, rel. 16; 2θ = 74.98°, rel. 22

Cell and atoms:
abc: 8.7729 8.7729 12.9281
angles: 90.00 90.00 120.00
Space group R-3m (No. 166, hexagonal axes)
Inequivalent atoms, fractional coordinates:
La 0.0000 0.0000 0.1463 x6
Mg 0.0000 0.0000 0.3960 x6
Cu 0.0000 0.2956 0.5000 x18
Cu 0.0000 0.5000 0.0000 x9
Cu 0.0016 0.5008 0.3462 x18

[4]
# LaYAg2
Theoretical XRD peak list, CuKα. Input: DFT lattice parameters and positions (GGA-PBE).
Neutral-atom scattering factors, no anomalous dispersion.

Main lines, sorted by position (2θ from 10° to 80°):
2θ = 30.32°, rel. 65; 2θ = 30.57°, rel. 72; 2θ = 31.62°, rel. 33; 2θ = 32.81°, rel. 18; 2θ = 36.58°, rel. 100; 2θ = 37.69°, rel. 52; 2θ = 38.32°, rel. 46; 2θ = 46.98°, rel. 28; 2θ = 49.08°, rel. 19; 2θ = 60.94°, rel. 25

Cell and atoms:
abc: 3.869 4.918 5.944
angles: 90.00 107.79 90.00
Space group Pm (No. 6)
Inequivalent atoms, fractional coordinates:
La 0.000 0.000 0.000 x1
Y 0.726 0.500 0.433 x1
Ag 0.286 0.000 0.552 x1
Ag 0.434 0.500 0.866 x1

[5]
# Pm2HoZn2Sn2
Theoretical XRD peak list, CuKα. Input: DFT lattice parameters and positions (GGA-PBE).
Neutral-atom scattering factors, no anomalous dispersion.

Main lines, sorted by position (2θ from 10° to 80°):
2θ = 22.22°, rel. 20; 2θ = 31.25°, rel. 100; 2θ = 33.62°, rel. 43; 2θ = 38.59°, rel. 79; 2θ = 50.47°, rel. 26; 2θ = 52.10°, rel. 13; 2θ = 63.28°, rel. 26; 2θ = 65.28°, rel. 28; 2θ = 66.68°, rel. 13; 2θ = 69.83°, rel. 14

Cell and atoms:
abc: 4.6656 4.6656 28.3839
angles: 90.00 90.00 120.00
Space group R-3m (No. 166, hexagonal axes)
Inequivalent atoms, fractional coordinates:
Pm 0.0000 0.0000 0.1293 x6
Ho 0.0000 0.0000 0.0000 x3
Zn 0.0000 0.0000 0.4138 x6
Sn 0.0000 0.0000 0.2709 x6

[6]
# Nd7SbS5
Theoretical XRD peak list, CuKα. Input: DFT lattice parameters and positions (GGA-PBE).
Neutral-atom scattering factors, no anomalous dispersion.

Main lines, sorted by position (2θ from 10° to 80°):
2θ = 26.90°, rel. 60; 2θ = 28.90°, rel. 100; 2θ = 29.08°, rel. 33; 2θ = 30.39°, rel. 98; 2θ = 31.50°, rel. 61; 2θ = 40.35°, rel. 20; 2θ = 43.77°, rel. 34; 2θ = 44.43°, rel. 28; 2θ = 53.29°, rel. 40; 2θ = 72.94°, rel. 21

Cell and atoms:
abc: 4.137 13.361 24.395
angles: 90.00 90.00 90.00
Space group Cmcm (No. 63)
Inequivalent atoms, fractional coordinates:
Nd 0.000 0.022 0.250 x4
Nd 0.000 0.136 0.537 x8
Nd 0.000 0.320 0.173 x8
Nd 0.000 0.408 0.611 x8
Sb 0.000 0.302 0.750 x4
S 0.000 0.046 0.641 x8
S 0.000 0.225 0.070 x8
S 0.000 0.500 0.000 x4

[7]
# CaIn2SnHg
Theoretical XRD peak list, CuKα. Input: DFT lattice parameters and positions (GGA-PBE).
Neutral-atom scattering factors, no anomalous dispersion.

Main lines, sorted by position (2θ from 10° to 80°):
2θ = 20.79°, rel. 66; 2θ = 26.82°, rel. 30; 2θ = 31.54°, rel. 60; 2θ = 32.93°, rel. 100; 2θ = 34.88°, rel. 78; 2θ = 35.57°, rel. 66; 2θ = 37.44°, rel. 43; 2θ = 39.14°, rel. 49; 2θ = 40.10°, rel. 36; 2θ = 53.91°, rel. 41

Cell and atoms:
abc: 4.604 11.489 10.578
angles: 90.00 90.00 90.00
Space group Cmcm (No. 63)
Inequivalent atoms, fractional coordinates:
Ca 0.000 0.080 0.250 x4
In 0.000 0.234 0.591 x8
Sn 0.000 0.373 0.250 x4
Hg 0.000 0.500 0.000 x4

[8]
# LiU2Rh8
Theoretical XRD peak list, CuKα. Input: DFT lattice parameters and positions (GGA-PBE).
Neutral-atom scattering factors, no anomalous dispersion.

Main lines, sorted by position (2θ from 10° to 80°):
2θ = 13.76°, rel. 10; 2θ = 15.27°, rel. 11; 2θ = 23.63°, rel. 14; 2θ = 27.72°, rel. 7; 2θ = 33.21°, rel. 13; 2θ = 39.99°, rel. 100; 2θ = 45.58°, rel. 18; 2θ = 46.98°, rel. 31; 2θ = 67.53°, rel. 21; 2θ = 68.62°, rel. 10

Cell and atoms:
abc: 3.980 7.737 11.606
angles: 90.00 90.00 90.00
Space group Immm (No. 71)
Inequivalent atoms, fractional coordinates:
Li 0.000 0.000 0.000 x2
U 0.000 0.000 0.343 x4
Rh 0.000 0.240 0.500 x4
Rh 0.000 0.255 0.163 x8
Rh 0.000 0.500 0.332 x4

[9]
# Hg3H4O4
Theoretical XRD peak list, CuKα. Input: DFT lattice parameters and positions (GGA-PBE).
Neutral-atom scattering factors, no anomalous dispersion.

Main lines, sorted by position (2θ from 10° to 80°):
2θ = 17.92°, rel. 100; 2θ = 25.67°, rel. 44; 2θ = 29.83°, rel. 25; 2θ = 30.38°, rel. 44; 2θ = 30.69°, rel. 24; 2θ = 30.82°, rel. 20; 2θ = 32.12°, rel. 22; 2θ = 33.04°, rel. 29; 2θ = 33.19°, rel. 17; 2θ = 38.60°, rel. 19

Cell and atoms:
abc: 3.353 3.849 14.954
angles: 94.16 93.16 114.88
Space group P1 (No. 1)
Inequivalent atoms, fractional coordinates:
Hg 0.000 0.000 0.000 x1
Hg 0.225 0.938 0.691 x1
Hg 0.769 0.066 0.309 x1
H 0.147 0.470 0.558 x1
H 0.300 0.402 0.824 x1
H 0.694 0.601 0.176 x1
H 0.847 0.533 0.442 x1
O 0.076 0.533 0.404 x1
O 0.464 0.598 0.214 x1
O 0.530 0.406 0.786 x1
O 0.918 0.471 0.596 x1

[10]
# CeErGa2Cu2
Theoretical XRD peak list, CuKα. Input: DFT lattice parameters and positions (GGA-PBE).
Neutral-atom scattering factors, no anomalous dispersion.

Main lines, sorted by position (2θ from 10° to 80°):
2θ = 12.20°, rel. 3; 2θ = 23.61°, rel. 17; 2θ = 34.32°, rel. 100; 2θ = 41.51°, rel. 52; 2θ = 50.32°, rel. 9; 2θ = 54.92°, rel. 26; 2θ = 56.30°, rel. 4; 2θ = 67.21°, rel. 22; 2θ = 71.12°, rel. 23; 2θ = 75.73°, rel. 8

Cell and atoms:
abc: 4.3506 4.3506 7.2535
angles: 90.00 90.00 120.00
Space group P-3m1 (No. 164)
Inequivalent atoms, fractional coordinates:
Ce 0.0000 0.0000 0.0000 x1
Er 0.0000 0.0000 0.5000 x1
Ga 0.3333 0.6667 0.2579 x2
Cu 0.3333 0.6667 0.7248 x2

[11]
# NdFeNi4
Theoretical XRD peak list, CuKα. Input: DFT lattice parameters and positions (GGA-PBE).
Neutral-atom scattering factors, no anomalous dispersion.

Main lines, sorted by position (2θ from 10° to 80°):
2θ = 30.60°, rel. 49; 2θ = 35.73°, rel. 31; 2θ = 41.50°, rel. 38; 2θ = 42.67°, rel. 100; 2θ = 46.04°, rel. 26; 2θ = 59.61°, rel. 14; 2θ = 61.03°, rel. 14; 2θ = 63.70°, rel. 20; 2θ = 68.97°, rel. 22; 2θ = 75.70°, rel. 16

Cell and atoms:
abc: 5.0256 5.0256 3.9426
angles: 90.00 90.00 120.00
Space group P-6m2 (No. 187)
Inequivalent atoms, fractional coordinates:
Nd 0.0000 0.0000 0.0000 x1
Fe 0.3333 0.6667 0.0000 x1
Ni 0.5004 0.0007 0.5000 x3
Ni 0.6667 0.3333 0.0000 x1

[12]
# SrBi4S7
Theoretical XRD peak list, CuKα. Input: DFT lattice parameters and positions (GGA-PBE).
Neutral-atom scattering factors, no anomalous dispersion.

Main lines, sorted by position (2θ from 10° to 80°):
2θ = 16.36°, rel. 51; 2θ = 22.14°, rel. 63; 2θ = 23.90°, rel. 77; 2θ = 24.51°, rel. 49; 2θ = 26.76°, rel. 61; 2θ = 29.22°, rel. 100; 2θ = 31.15°, rel. 41; 2θ = 41.72°, rel. 39; 2θ = 44.51°, rel. 39; 2θ = 46.06°, rel. 42

Cell and atoms:
abc: 14.115 4.071 11.832
angles: 90.00 102.59 90.00
Space group Cm (No. 8)
Inequivalent atoms, fractional coordinates:
Sr 0.000 0.000 0.000 x2
Bi 0.156 0.000 0.460 x2
Bi 0.251 0.000 0.864 x2
Bi 0.267 0.500 0.187 x2
Bi 0.446 0.000 0.581 x2
S 0.022 0.500 0.396 x2
S 0.076 0.000 0.666 x2
S 0.147 0.500 0.973 x2
S 0.148 0.000 0.226 x2
S 0.313 0.500 0.453 x2
S 0.349 0.500 0.783 x2
S 0.374 0.000 0.077 x2